No. 1
Diffraction record for NbWNO6. The PXRD pattern is theoretical, not measured: it uses the PBE+U geometry in Alexandria and Cu Kα (λ = 1.5418 Å).
Lines closer than 0.1° are merged.

The 8 most intense peaks (2θ = 5–70°), in order of rising 2θ:
2θ 14.4, d 6.154, intensity 100
2θ 14.6, d 6.072, intensity 33
2θ 27.8, d 3.212, intensity 12
2θ 27.9, d 3.194, intensity 22
2θ 28.1, d 3.177, intensity 46
2θ 29.0, d 3.077, intensity 34
2θ 29.4, d 3.036, intensity 35
2θ 48.7, d 1.871, intensity 20

Crystal structure
```
NbWNO6
1.0
6.4995 -3.7092 0.0000
6.4995 3.7092 0.0000
-4.4093 0.0000 6.1545
Nb W N O
2 2 2 12
direct
0.0000 0.0000 0.0000
0.0360 0.0360 0.5361
0.0180 0.5181 0.0536
0.5181 0.0180 0.0536
0.3943 0.3943 0.6641
0.6395 0.6395 0.4109
0.0734 0.6992 0.9775
0.0794 0.0794 0.3391
0.0817 0.7091 0.3434
0.3244 0.3244 0.1031
0.3269 0.9543 0.0886
0.3368 0.9627 0.7410
0.6992 0.0734 0.9775
0.7091 0.0817 0.3434
0.7117 0.7117 0.9905
0.9543 0.3269 0.0886
0.9564 0.9564 0.7160
0.9627 0.3368 0.7410
```

---

No. 2
Diffraction record for Nd2Fe3O8. The PXRD pattern is theoretical, not measured: it uses the PBE+U geometry in Alexandria and Cu Kα (λ = 1.5418 Å).
Lines closer than 0.1° are merged.

The 8 most intense peaks (2θ = 5–70°), in order of rising 2θ:
2θ 7.2, d 12.335, intensity 100
2θ 14.4, d 6.167, intensity 34
2θ 31.8, d 2.815, intensity 78
2θ 32.8, d 2.730, intensity 32
2θ 39.6, d 2.275, intensity 13
2θ 47.1, d 1.931, intensity 24
2θ 56.0, d 1.642, intensity 13
2θ 57.9, d 1.592, intensity 28

Crystal structure
```
Nd2Fe3O8
1.0
3.8615 0.0000 0.0000
0.0000 3.8615 0.0000
0.0000 0.0000 12.3346
Nd Fe O
2 3 8
direct
0.0000 0.0000 0.1726
0.0000 0.0000 0.8274
0.5000 0.5000 0.0000
0.5000 0.5000 0.3170
0.5000 0.5000 0.6830
0.0000 0.5000 0.0000
0.0000 0.5000 0.3089
0.0000 0.5000 0.6911
0.5000 0.0000 0.0000
0.5000 0.0000 0.3089
0.5000 0.0000 0.6911
0.5000 0.5000 0.1587
0.5000 0.5000 0.8413
```